Diffraction record for Ca2I4O13. The XRD peak list is theoretical, not measured: it uses a structure optimized by DFT (PBE) and a wavelength of 1.5418 Å.
Neutral-atom scattering factors, no anomalous dispersion.

Crystal structure
```
data_Ca2I4O13
_chemical_formula_sum 'Ca8 I16 O52'
_space_group_name_H-M_alt 'C 1 2/c 1'
_space_group_IT_number 15
_cell_length_a 12.9536
_cell_length_b 6.5425
_cell_length_c 16.9165
_cell_angle_alpha 90.00
_cell_angle_beta 104.57
_cell_angle_gamma 90.00
loop_
_space_group_symop_operation_xyz
'x,y,z'
'-x,-y,-z'
'-x,y,-z+1/2'
'x,-y,z+1/2'
'x+1/2,y+1/2,z'
'-x+1/2,-y+1/2,-z'
'-x+1/2,y+1/2,-z+1/2'
'x+1/2,-y+1/2,z+1/2'
loop_
_atom_site_label
_atom_site_fract_x
_atom_site_fract_y
_atom_site_fract_z
Ca1 0.1033 0.2305 0.3798
I1 0.0885 0.2573 0.6047
I2 0.2062 0.2875 0.8524
O1 0.0000 0.3520 0.2500
O2 0.0413 0.2304 0.4944
O3 0.0926 0.1135 0.8450
O4 0.1191 0.0068 0.1388
O5 0.1490 0.4570 0.7637
O6 0.1813 0.4488 0.9331
O7 0.2221 0.3620 0.6124
```

The 10 most intense peaks (10 to 80 degrees two-theta), most intense first:
hkl  d [Å]  intensity
3 1 -1  3.604  1000
0 0 4  4.093  689
1 1 3  3.762  426
0 2 0  3.271  354
6 0 -4  2.086  318
3 1 -5  2.700  301
0 2 4  2.555  283
4 0 2  2.709  281
1 1 1  5.277  233
3 3 -5  1.758  199